(1)
Theoretical powder XRD pattern
Compound: RbZrFeTe3
Radiation: Cu Kα (weighted mean of Kα1 and Kα2)
Structure: a structure optimized by DFT (GGA-PBE)
Neutral-atom scattering factors, no anomalous dispersion.

Top 10 peaks for 10° ≤ 2θ ≤ 80°, sorted by position:
| 2θ/deg | I/Imax |
| --- | --- |
| 10.30 | 71 |
| 26.61 | 23 |
| 27.03 | 83 |
| 28.28 | 100 |
| 31.84 | 42 |
| 33.46 | 25 |
| 38.28 | 63 |
| 44.84 | 28 |
| 50.47 | 22 |
| 50.80 | 37 |

Structural model:
```
data_RbZrFeTe3
_cell_length_a 4.0422
_cell_length_b 17.1701
_cell_length_c 10.7117
_cell_angle_alpha 90.00
_cell_angle_beta 90.00
_cell_angle_gamma 90.00
_symmetry_space_group_name_H-M 'C m c m'
_symmetry_Int_Tables_number 63
_symmetry_space_group_name_Hall '-C 2c 2'
loop_
_atom_site_label
_atom_site_type_symbol
_atom_site_fract_x
_atom_site_fract_y
_atom_site_fract_z
Rb1 Rb 0.0000 0.2488 0.2500
Zr1 Zr 0.0000 0.5000 0.0000
Fe1 Fe 0.0000 0.0266 0.7500
Te1 Te 0.0000 0.1190 0.5588
Te2 Te 0.0000 0.4277 0.7500
```

(2)
Theoretical powder XRD pattern
Compound: Pr2ZnPd6
Radiation: Cu Kα (weighted mean of Kα1 and Kα2)
Structure: a structure optimized by DFT (GGA-PBE)
Neutral-atom scattering factors, no anomalous dispersion.

Top 10 peaks for 10° ≤ 2θ ≤ 80°, sorted by position:
| 2θ/deg | I/Imax |
| --- | --- |
| 30.58 | 22 |
| 34.35 | 18 |
| 35.49 | 45 |
| 38.83 | 100 |
| 47.57 | 20 |
| 56.83 | 14 |
| 57.65 | 9 |
| 63.81 | 20 |
| 72.41 | 9 |
| 77.27 | 13 |

Structural model:
```
data_Pr2ZnPd6
_cell_length_a 5.8343
_cell_length_b 5.8343
_cell_length_c 5.8483
_cell_angle_alpha 90.00
_cell_angle_beta 90.00
_cell_angle_gamma 120.00
_symmetry_space_group_name_H-M 'P -3 m 1'
_symmetry_Int_Tables_number 164
_symmetry_space_group_name_Hall '-P 3 2"'
loop_
_atom_site_label
_atom_site_type_symbol
_atom_site_fract_x
_atom_site_fract_y
_atom_site_fract_z
Pr1 Pr 0.3333 0.6667 0.3179
Zn1 Zn 0.0000 0.0000 0.5000
Pd1 Pd 0.1736 0.3472 0.8116
```

Which formula does entry 1 have?
RbZrFeTe3

Copy entry 1 word for word.
Theoretical powder XRD pattern
Compound: RbZrFeTe3
Radiation: Cu Kα (weighted mean of Kα1 and Kα2)
Structure: a structure optimized by DFT (GGA-PBE)
Neutral-atom scattering factors, no anomalous dispersion.

Top 10 peaks for 10° ≤ 2θ ≤ 80°, sorted by position:
| 2θ/deg | I/Imax |
| --- | --- |
| 10.30 | 71 |
| 26.61 | 23 |
| 27.03 | 83 |
| 28.28 | 100 |
| 31.84 | 42 |
| 33.46 | 25 |
| 38.28 | 63 |
| 44.84 | 28 |
| 50.47 | 22 |
| 50.80 | 37 |

Structural model:
```
data_RbZrFeTe3
_cell_length_a 4.0422
_cell_length_b 17.1701
_cell_length_c 10.7117
_cell_angle_alpha 90.00
_cell_angle_beta 90.00
_cell_angle_gamma 90.00
_symmetry_space_group_name_H-M 'C m c m'
_symmetry_Int_Tables_number 63
_symmetry_space_group_name_Hall '-C 2c 2'
loop_
_atom_site_label
_atom_site_type_symbol
_atom_site_fract_x
_atom_site_fract_y
_atom_site_fract_z
Rb1 Rb 0.0000 0.2488 0.2500
Zr1 Zr 0.0000 0.5000 0.0000
Fe1 Fe 0.0000 0.0266 0.7500
Te1 Te 0.0000 0.1190 0.5588
Te2 Te 0.0000 0.4277 0.7500
```

Please write out number 1 again, unchanged.
Theoretical powder XRD pattern
Compound: RbZrFeTe3
Radiation: Cu Kα (weighted mean of Kα1 and Kα2)
Structure: a structure optimized by DFT (GGA-PBE)
Neutral-atom scattering factors, no anomalous dispersion.

Top 10 peaks for 10° ≤ 2θ ≤ 80°, sorted by position:
| 2θ/deg | I/Imax |
| --- | --- |
| 10.30 | 71 |
| 26.61 | 23 |
| 27.03 | 83 |
| 28.28 | 100 |
| 31.84 | 42 |
| 33.46 | 25 |
| 38.28 | 63 |
| 44.84 | 28 |
| 50.47 | 22 |
| 50.80 | 37 |

Structural model:
```
data_RbZrFeTe3
_cell_length_a 4.0422
_cell_length_b 17.1701
_cell_length_c 10.7117
_cell_angle_alpha 90.00
_cell_angle_beta 90.00
_cell_angle_gamma 90.00
_symmetry_space_group_name_H-M 'C m c m'
_symmetry_Int_Tables_number 63
_symmetry_space_group_name_Hall '-C 2c 2'
loop_
_atom_site_label
_atom_site_type_symbol
_atom_site_fract_x
_atom_site_fract_y
_atom_site_fract_z
Rb1 Rb 0.0000 0.2488 0.2500
Zr1 Zr 0.0000 0.5000 0.0000
Fe1 Fe 0.0000 0.0266 0.7500
Te1 Te 0.0000 0.1190 0.5588
Te2 Te 0.0000 0.4277 0.7500
```